Structure and theoretical PXRD pattern of NpNiSnO6 (a cell relaxed with GGA+U; a wavelength of 1.5418 Å).
No peak broadening, texture or thermal motion is included.

Most intense lines, 15 to 90 degrees two-theta, by angle:
| index | d [Å] | two_theta | I/Imax |
| --- | --- | --- | --- |
| 1 0 1 | 4.078 | 21.8 | 48.1 |
| 1 0 2 | 3.251 | 27.4 | 100.0 |
| 1 1 0 | 2.618 | 34.2 | 52.5 |
| 1 1 2 | 2.283 | 39.5 | 19.4 |
| 2 0 2 | 2.039 | 44.4 | 27.8 |
| 1 1 4 | 1.741 | 52.6 | 49.5 |
| 3 -1 2 | 1.609 | 57.3 | 26.5 |
| 3 0 0 | 1.512 | 61.3 | 18.1 |

Structural model:
a = 5.236 Å, b = 5.236 Å, c = 9.324 Å
α = 90.00°, β = 90.00°, γ = 120.00°
Fractional coordinates of all 18 atoms:
Np 0.333 0.667 0.250
Np 0.667 0.333 0.750
Ni 0.333 0.667 0.750
Ni 0.667 0.333 0.250
Sn 0.000 0.000 0.000
Sn 0.000 0.000 0.500
O 0.002 0.333 0.128
O 0.002 0.669 0.372
O 0.331 0.333 0.372
O 0.331 0.998 0.128
O 0.333 0.002 0.628
O 0.333 0.331 0.872
O 0.667 0.669 0.128
O 0.667 0.998 0.372
O 0.669 0.002 0.872
O 0.669 0.667 0.628
O 0.998 0.331 0.628
O 0.998 0.667 0.872